No. 1
DyTm2Sn3Pd2Pt: computed X-ray powder pattern (Cu Kα (λ = 1.5418 Å)), based on the GGA-PBE geometry in OQMD.
Intensities are scaled so that the largest is 100.

Largest 12 diffraction maxima, in order of rising 2θ, 15 to 90 degrees two-theta:
32.94°, I = 100
35.76°, I = 97
36.29°, I = 26
36.38°, I = 12
41.33°, I = 17
41.43°, I = 34
43.26°, I = 33
46.36°, I = 27
60.28°, I = 18
63.88°, I = 28
66.67°, I = 26
66.82°, I = 13

Cell and atoms:
```
DyTm2Sn3Pd2Pt
1.0
3.9170 0.0000 0.0000
0.0000 6.5541 3.7723
0.0000 -6.5541 3.7723
Dy Tm Sn Pd Pt
1 2 3 2 1
Cartesian
0.0000 0.0000 0.0000
0.0000 -2.6173 3.0190
0.0000 2.6173 3.0190
1.9585 0.0000 2.5386
1.9585 -1.7226 5.5143
1.9585 1.7226 5.5143
1.9585 -4.3476 4.5304
1.9585 4.3476 4.5304
0.0000 0.0000 4.5099
```

No. 2
DySi3Pd4: computed X-ray powder pattern (Cu Kα (λ = 1.5418 Å)), based on the GGA-PBE geometry in OQMD.
Intensities are scaled so that the largest is 100.

Largest 12 diffraction maxima, in order of rising 2θ, 15 to 90 degrees two-theta:
28.22°, I = 70
29.41°, I = 35
30.86°, I = 40
32.46°, I = 60
38.03°, I = 81
39.19°, I = 100
40.31°, I = 66
41.14°, I = 43
41.40°, I = 47
42.10°, I = 48
44.82°, I = 58
48.21°, I = 73

Cell and atoms:
```
DySi3Pd4
1.0
5.8123 0.0000 0.0000
0.0000 3.7745 0.0000
-0.4639 0.0000 6.0733
Dy Si Pd
1 3 4
Cartesian
0.0000 0.0000 0.0000
1.2450 1.8872 4.2631
2.9252 0.0000 1.1733
4.4631 1.8872 2.2902
0.0446 0.0000 3.1992
1.4927 1.8872 1.8027
3.0595 0.0000 3.6177
3.0065 1.8872 5.8589
```

No. 3
SmDySi2Pd: computed X-ray powder pattern (Cu Kα (λ = 1.5418 Å)), based on the GGA-PBE geometry in OQMD.
Intensities are scaled so that the largest is 100.

Largest 12 diffraction maxima, in order of rising 2θ, 15 to 90 degrees two-theta:
22.78°, I = 38
26.97°, I = 24
33.18°, I = 100
33.45°, I = 56
33.66°, I = 49
34.07°, I = 20
36.61°, I = 38
39.80°, I = 19
40.92°, I = 39
41.96°, I = 42
57.73°, I = 18
65.82°, I = 20

Cell and atoms:
```
SmDySi2Pd
1.0
5.2660 -2.1532 0.0000
5.2660 2.1532 0.0000
-4.9384 0.0000 9.0595
Sm Dy Si Pd
2 2 4 2
Cartesian
-1.5604 0.0000 2.9202
7.1539 0.0000 6.1393
1.4362 0.0000 0.9645
4.1574 0.0000 8.0950
1.6884 0.0000 3.9533
4.5336 0.0000 1.0041
1.0600 0.0000 8.0554
3.9051 0.0000 5.1062
-0.2937 0.0000 5.8446
5.8873 0.0000 3.2149
```

No. 4
Tb2DySn3Pd3: computed X-ray powder pattern (Cu Kα (λ = 1.5418 Å)), based on the GGA-PBE geometry in OQMD.
Intensities are scaled so that the largest is 100.

Largest 12 diffraction maxima, in order of rising 2θ, 15 to 90 degrees two-theta:
32.58°, I = 100
35.44°, I = 86
36.37°, I = 46
41.45°, I = 35
43.01°, I = 21
45.22°, I = 25
50.34°, I = 12
55.65°, I = 16
59.37°, I = 23
63.01°, I = 20
66.59°, I = 31
69.99°, I = 14

Cell and atoms:
```
Tb2DySn3Pd3
1.0
4.0103 0.0000 0.0000
0.0000 6.5335 3.7742
0.0000 -6.5335 3.7742
Tb Dy Sn Pd
2 1 3 3
Cartesian
0.0000 -3.8705 3.7742
0.0000 3.8705 3.7742
0.0000 0.0000 4.6141
2.0051 -1.6836 2.5124
2.0051 1.6836 2.5124
2.0051 0.0000 7.1395
0.0000 0.0000 1.5400
2.0051 -2.1753 5.3120
2.0051 2.1753 5.3120
```

No. 5
TbDyPd2: computed X-ray powder pattern (Cu Kα (λ = 1.5418 Å)), based on the GGA-PBE geometry in OQMD.
Intensities are scaled so that the largest is 100.

Largest 12 diffraction maxima, in order of rising 2θ, 15 to 90 degrees two-theta:
28.42°, I = 43
32.65°, I = 82
34.03°, I = 67
36.36°, I = 100
39.68°, I = 82
40.25°, I = 54
42.19°, I = 25
53.70°, I = 37
59.72°, I = 18
70.66°, I = 33
72.77°, I = 13
79.77°, I = 15

Cell and atoms:
```
TbDyPd2
1.0
5.6970 0.0000 0.0000
0.0000 4.4817 0.0000
-0.0225 0.0000 6.9343
Tb Dy Pd
2 2 4
Cartesian
0.8065 1.1204 1.2619
4.8681 3.3613 5.6724
2.0280 1.1204 4.7249
3.6466 3.3613 2.2094
0.8753 3.3613 3.1861
1.9485 3.3613 6.6339
3.7261 1.1204 0.3004
4.7992 1.1204 3.7482
```

No. 6
TbDy2YPd4: computed X-ray powder pattern (Cu Kα (λ = 1.5418 Å)), based on the GGA-PBE geometry in OQMD.
Intensities are scaled so that the largest is 100.

Largest 12 diffraction maxima, in order of rising 2θ, 15 to 90 degrees two-theta:
17.91°, I = 1
21.99°, I = 1
25.44°, I = 2
36.29°, I = 100
42.83°, I = 1
44.84°, I = 1
52.26°, I = 17
58.99°, I = 1
65.28°, I = 35
77.04°, I = 11
88.23°, I = 11
88.33°, I = 5

Cell and atoms:
```
TbDy2YPd4
1.0
4.9531 0.0000 0.0000
0.0000 4.9531 0.0000
0.0000 0.0000 6.9970
Tb Dy Y Pd
1 2 1 4
Cartesian
0.0000 0.0000 0.0000
0.0000 0.0000 3.4985
2.4765 2.4765 0.0000
2.4765 2.4765 3.4985
0.0000 2.4765 1.7477
0.0000 2.4765 5.2494
2.4765 0.0000 1.7477
2.4765 0.0000 5.2494
```

No. 7
DyTm6Te2Pd2: computed X-ray powder pattern (Cu Kα (λ = 1.5418 Å)), based on the GGA-PBE geometry in OQMD.
Intensities are scaled so that the largest is 100.

Largest 12 diffraction maxima, in order of rising 2θ, 15 to 90 degrees two-theta:
28.66°, I = 32
30.18°, I = 68
33.09°, I = 62
33.88°, I = 100
34.38°, I = 49
34.59°, I = 15
36.49°, I = 21
38.34°, I = 21
39.58°, I = 16
46.55°, I = 28
51.05°, I = 20
58.31°, I = 31

Cell and atoms:
```
DyTm6Te2Pd2
1.0
-1.9510 7.7786 4.7617
1.9510 -7.7786 4.7617
1.9510 7.7786 -4.7617
Dy Tm Te Pd
1 6 2 2
Cartesian
0.0000 0.0000 0.0000
1.9510 2.8416 -1.1934
1.9510 -2.2521 2.2427
1.9510 2.2521 2.2427
1.9510 5.7644 0.7906
0.0000 4.9370 3.5683
0.0000 2.0142 5.5523
0.0000 0.0000 3.2130
0.0000 7.7786 2.2289
0.0000 3.6989 0.6690
0.0000 11.8583 0.6690
```

No. 8
DyY2Tm4Te2Pd2: computed X-ray powder pattern (Cu Kα (λ = 1.5418 Å)), based on the GGA-PBE geometry in OQMD.
Intensities are scaled so that the largest is 100.

Largest 12 diffraction maxima, in order of rising 2θ, 15 to 90 degrees two-theta:
24.50°, I = 14
28.64°, I = 13
30.04°, I = 69
33.00°, I = 59
33.69°, I = 100
34.21°, I = 60
34.44°, I = 13
36.34°, I = 21
38.18°, I = 23
39.46°, I = 19
46.21°, I = 29
57.96°, I = 28

Cell and atoms:
```
DyY2Tm4Te2Pd2
1.0
-1.9645 7.8112 4.7708
1.9645 -7.8112 4.7708
1.9645 7.8112 -4.7708
Dy Y Tm Te Pd
1 2 4 2 2
Cartesian
0.0000 0.0000 0.0000
0.0000 5.5628 2.4920
0.0000 10.0597 2.4920
1.9645 5.7894 -0.8176
1.9645 2.8482 1.1777
0.0000 2.0218 3.9532
0.0000 4.9630 5.9485
1.9645 0.0000 2.5251
0.0000 0.0000 6.2952
1.9645 -4.0661 4.1195
1.9645 4.0661 4.1195
```

Repeat the second record exactly.
DySi3Pd4: computed X-ray powder pattern (Cu Kα (λ = 1.5418 Å)), based on the GGA-PBE geometry in OQMD.
Intensities are scaled so that the largest is 100.

Largest 12 diffraction maxima, in order of rising 2θ, 15 to 90 degrees two-theta:
28.22°, I = 70
29.41°, I = 35
30.86°, I = 40
32.46°, I = 60
38.03°, I = 81
39.19°, I = 100
40.31°, I = 66
41.14°, I = 43
41.40°, I = 47
42.10°, I = 48
44.82°, I = 58
48.21°, I = 73

Cell and atoms:
```
DySi3Pd4
1.0
5.8123 0.0000 0.0000
0.0000 3.7745 0.0000
-0.4639 0.0000 6.0733
Dy Si Pd
1 3 4
Cartesian
0.0000 0.0000 0.0000
1.2450 1.8872 4.2631
2.9252 0.0000 1.1733
4.4631 1.8872 2.2902
0.0446 0.0000 3.1992
1.4927 1.8872 1.8027
3.0595 0.0000 3.6177
3.0065 1.8872 5.8589
```

What did the seventh record say?
DyTm6Te2Pd2: computed X-ray powder pattern (Cu Kα (λ = 1.5418 Å)), based on the GGA-PBE geometry in OQMD.
Intensities are scaled so that the largest is 100.

Largest 12 diffraction maxima, in order of rising 2θ, 15 to 90 degrees two-theta:
28.66°, I = 32
30.18°, I = 68
33.09°, I = 62
33.88°, I = 100
34.38°, I = 49
34.59°, I = 15
36.49°, I = 21
38.34°, I = 21
39.58°, I = 16
46.55°, I = 28
51.05°, I = 20
58.31°, I = 31

Cell and atoms:
```
DyTm6Te2Pd2
1.0
-1.9510 7.7786 4.7617
1.9510 -7.7786 4.7617
1.9510 7.7786 -4.7617
Dy Tm Te Pd
1 6 2 2
Cartesian
0.0000 0.0000 0.0000
1.9510 2.8416 -1.1934
1.9510 -2.2521 2.2427
1.9510 2.2521 2.2427
1.9510 5.7644 0.7906
0.0000 4.9370 3.5683
0.0000 2.0142 5.5523
0.0000 0.0000 3.2130
0.0000 7.7786 2.2289
0.0000 3.6989 0.6690
0.0000 11.8583 0.6690
```